# 1
The following is a theoretical X-ray powder pattern of TbTmSiPd. It was derived from a DFT-relaxed cell (PBE, Alexandria), using Cu Kα (weighted mean of Kα1 and Kα2).
Intensities are scaled so that the largest is 100.

Largest 8 diffraction maxima, in order of rising 2θ, 10° ≤ 2θ ≤ 90°:
| 2θ (°) | intensity |
| --- | --- |
| 26.88 | 36 |
| 32.27 | 100 |
| 33.35 | 27 |
| 33.90 | 44 |
| 40.25 | 45 |
| 42.89 | 24 |
| 46.30 | 20 |
| 55.76 | 32 |

Cell and atoms:
```
TbTmSiPd
1.0
4.217 0.000 0.000
0.000 3.921 0.000
0.000 0.000 10.745
Tb Tm Si Pd
2 2 2 2
direct
0.000 0.000 0.000
0.000 0.500 0.500
0.500 0.000 0.281
0.500 0.500 0.781
0.000 0.000 0.722
0.000 0.500 0.222
0.500 0.000 0.568
0.500 0.500 0.068
```



# 2
The following is a theoretical X-ray powder pattern of Th3Si6Pd20. It was derived from a DFT-relaxed cell (PBE, Alexandria), using Cu Kα (weighted mean of Kα1 and Kα2).
Intensities are scaled so that the largest is 100.

Largest 8 diffraction maxima, in order of rising 2θ, 10° ≤ 2θ ≤ 90°:
| 2θ (°) | intensity |
| --- | --- |
| 32.23 | 26 |
| 35.40 | 51 |
| 37.63 | 100 |
| 41.11 | 40 |
| 43.08 | 16 |
| 63.56 | 36 |
| 65.02 | 16 |
| 74.90 | 23 |

Cell and atoms:
```
Th3Si6Pd20
1.0
0.000 6.211 6.211
6.211 0.000 6.211
6.211 6.211 0.000
Th Si Pd
3 6 20
direct
0.000 0.000 0.000
0.250 0.250 0.250
0.750 0.750 0.750
0.268 0.268 0.732
0.268 0.732 0.268
0.268 0.732 0.732
0.732 0.268 0.268
0.732 0.268 0.732
0.732 0.732 0.268
0.000 0.000 0.347
0.000 0.000 0.653
0.000 0.347 0.000
0.000 0.347 0.653
0.000 0.653 0.000
0.000 0.653 0.347
0.152 0.616 0.616
0.347 0.000 0.000
0.347 0.000 0.653
0.347 0.653 0.000
0.384 0.384 0.384
0.384 0.384 0.848
0.384 0.848 0.384
0.616 0.152 0.616
0.616 0.616 0.152
0.616 0.616 0.616
0.653 0.000 0.000
0.653 0.000 0.347
0.653 0.347 0.000
0.848 0.384 0.384
```



# 3
The following is a theoretical X-ray powder pattern of Th2SiPd3. It was derived from a DFT-relaxed cell (PBE, Alexandria), using Cu Kα (weighted mean of Kα1 and Kα2).
Intensities are scaled so that the largest is 100.

Largest 8 diffraction maxima, in order of rising 2θ, 10° ≤ 2θ ≤ 90°:
| 2θ (°) | intensity |
| --- | --- |
| 23.13 | 25 |
| 33.19 | 50 |
| 33.56 | 100 |
| 40.01 | 48 |
| 40.95 | 23 |
| 52.68 | 15 |
| 53.69 | 24 |
| 65.11 | 23 |

Cell and atoms:
```
Th2SiPd3
1.0
0.000 4.407 7.865
3.712 0.000 7.865
3.712 4.407 0.000
Th Si Pd
4 2 6
direct
0.244 0.756 0.756
0.250 0.250 0.250
0.750 0.750 0.750
0.756 0.244 0.244
0.335 0.335 0.665
0.665 0.665 0.335
0.176 0.651 0.349
0.179 0.179 0.821
0.349 0.824 0.176
0.651 0.176 0.824
0.821 0.821 0.179
0.824 0.349 0.651
```